Diffraction record for YMgCo2Ni2. The X-ray diffraction stick pattern is theoretical, not measured: it uses a cell relaxed with PBE and λ = 1.5418 Å (Cu Kα).
Neutral-atom scattering factors, no anomalous dispersion.

Structural model:
```
YMgCo2Ni2
1.0
-2.417 2.505 3.572
2.417 -2.505 3.572
2.417 2.505 -3.572
Y Mg Co Ni
1 1 2 2
Direct
0.000 0.000 0.000
0.744 0.244 0.500
0.375 0.125 0.749
0.375 0.626 0.251
0.379 0.624 0.754
0.870 0.624 0.246
```

Peak list (10 most intense, 2θ = 5–70°, sorted by position)
- 21.66 deg, rel. 22.9
- 22.21 deg, rel. 26.5
- 36.04 deg, rel. 45.8
- 42.01 deg, rel. 50.0
- 42.31 deg, rel. 49.3
- 42.57 deg, rel. 100.0
- 43.46 deg, rel. 86.8
- 44.15 deg, rel. 63.7
- 45.31 deg, rel. 60.6
- 69.69 deg, rel. 20.0